[1]
This entry pairs a crystal structure of Sb2Te2Se with its theoretical XRD peak list. Radiation: Cu Ka. Structure: a cell relaxed with GGA-PBE.
Lines closer than 0.1° are merged.

Atomic structure:
Lattice parameters (Å, degrees): 4.2541 4.2541 30.8355 90.00 90.00 120.00
Space group R3m (No. 160, hexagonal axes)
Symmetry-distinct sites (fractional):
Sb  0.0000  0.0000  0.0000
Sb  0.0000  0.0000  0.2012
Te  0.0000  0.0000  0.3904
Te  0.0000  0.0000  0.5998
Se  0.0000  0.0000  0.8201

Largest 8 diffraction maxima, sorted by position, 2θ = 5–70°:
hkl 0 0 3, 2θ 8.6, intensity 9.6
hkl 0 1 5, 2θ 28.2, intensity 100.0
hkl 1 0 10, 2θ 38.1, intensity 35.9
hkl 1 1 0, 2θ 42.5, intensity 35.2
hkl 2 0 5, 2θ 51.8, intensity 18.2
hkl 0 2 10, 2θ 58.4, intensity 10.1
hkl 1 1 15, 2θ 62.9, intensity 11.6
hkl 1 2 5, 2θ 69.2, intensity 15.1

[2]
This entry pairs a crystal structure of Nd2TeO2 with its theoretical XRD peak list. Radiation: Cu Ka. Structure: a cell relaxed with GGA-PBE.
Lines closer than 0.1° are merged.

Atomic structure:
Lattice parameters (Å, degrees): 4.074 4.074 13.002 90.00 90.00 90.00
Space group I4/mmm (No. 139)
Symmetry-distinct sites (fractional):
Nd  0.000  0.000  0.160
Te  0.000  0.000  0.500
O  0.000  0.500  0.250

Largest 8 diffraction maxima, sorted by position, 2θ = 5–70°:
hkl 1 0 3, 2θ 30.1, intensity 100.0
hkl 1 1 0, 2θ 31.0, intensity 39.1
hkl 0 0 6, 2θ 41.7, intensity 8.5
hkl 2 0 0, 2θ 44.5, intensity 20.0
hkl 1 1 6, 2θ 52.9, intensity 22.8
hkl 2 1 3, 2θ 54.6, intensity 37.2
hkl 2 0 6, 2θ 62.6, intensity 10.5
hkl 1 0 9, 2θ 69.0, intensity 8.4

Please write out number 1 again, unchanged.
This entry pairs a crystal structure of Sb2Te2Se with its theoretical XRD peak list. Radiation: Cu Ka. Structure: a cell relaxed with GGA-PBE.
Lines closer than 0.1° are merged.

Atomic structure:
Lattice parameters (Å, degrees): 4.2541 4.2541 30.8355 90.00 90.00 120.00
Space group R3m (No. 160, hexagonal axes)
Symmetry-distinct sites (fractional):
Sb  0.0000  0.0000  0.0000
Sb  0.0000  0.0000  0.2012
Te  0.0000  0.0000  0.3904
Te  0.0000  0.0000  0.5998
Se  0.0000  0.0000  0.8201

Largest 8 diffraction maxima, sorted by position, 2θ = 5–70°:
hkl 0 0 3, 2θ 8.6, intensity 9.6
hkl 0 1 5, 2θ 28.2, intensity 100.0
hkl 1 0 10, 2θ 38.1, intensity 35.9
hkl 1 1 0, 2θ 42.5, intensity 35.2
hkl 2 0 5, 2θ 51.8, intensity 18.2
hkl 0 2 10, 2θ 58.4, intensity 10.1
hkl 1 1 15, 2θ 62.9, intensity 11.6
hkl 1 2 5, 2θ 69.2, intensity 15.1

What did the second record say?
This entry pairs a crystal structure of Nd2TeO2 with its theoretical XRD peak list. Radiation: Cu Ka. Structure: a cell relaxed with GGA-PBE.
Lines closer than 0.1° are merged.

Atomic structure:
Lattice parameters (Å, degrees): 4.074 4.074 13.002 90.00 90.00 90.00
Space group I4/mmm (No. 139)
Symmetry-distinct sites (fractional):
Nd  0.000  0.000  0.160
Te  0.000  0.000  0.500
O  0.000  0.500  0.250

Largest 8 diffraction maxima, sorted by position, 2θ = 5–70°:
hkl 1 0 3, 2θ 30.1, intensity 100.0
hkl 1 1 0, 2θ 31.0, intensity 39.1
hkl 0 0 6, 2θ 41.7, intensity 8.5
hkl 2 0 0, 2θ 44.5, intensity 20.0
hkl 1 1 6, 2θ 52.9, intensity 22.8
hkl 2 1 3, 2θ 54.6, intensity 37.2
hkl 2 0 6, 2θ 62.6, intensity 10.5
hkl 1 0 9, 2θ 69.0, intensity 8.4